# MnCrCuTeAu
Simulated powder XRD pattern, λ = 1.5418 Å (Cu Kα). Input: a GGA-PBE-relaxed structure.
Intensities are scaled so that the largest is 100.

Cell and atoms:
```
data_MnCrCuTeAu
_chemical_formula_sum 'Mn2 Cr2 Cu2 Te2 Au2'
_space_group_name_H-M_alt 'A m m 2'
_space_group_IT_number 38
_cell_length_a 3.783
_cell_length_b 3.713
_cell_length_c 14.262
_cell_angle_alpha 90.00
_cell_angle_beta 90.00
_cell_angle_gamma 90.00
loop_
_space_group_symop_operation_xyz
'x,y,z'
'-x,-y,z'
'-x,y,z'
'x,-y,z'
'x,y+1/2,z+1/2'
'-x,-y+1/2,z+1/2'
'-x,y+1/2,z+1/2'
'x,-y+1/2,z+1/2'
loop_
_atom_site_label
_atom_site_type_symbol
_atom_site_fract_x
_atom_site_fract_y
_atom_site_fract_z
Mn1 Mn 0.000 0.000 0.000
Cr1 Cr 0.000 0.000 0.276
Cu1 Cu 0.000 0.000 0.636
Te1 Te 0.500 0.000 0.417
Au1 Au 0.500 0.000 0.141
```

Peak list (8 most intense, 2θ = 10–90°, most intense first)
Position (°2θ)  I (rel.)  index
38.91  100  1 1 3
34.57  42  1 0 4
24.78  40  0 1 1
12.41  37  0 0 2
34.42  34  1 1 1
24.97  30  0 0 4
48.10  18  2 0 0
49.07  17  0 2 0

# CrGa2Au4
Simulated powder XRD pattern, λ = 1.5418 Å (Cu Kα). Input: a GGA-PBE-relaxed structure.
Intensities are scaled so that the largest is 100.

Cell and atoms:
```
data_CrGa2Au4
_chemical_formula_sum 'Cr2 Ga4 Au8'
_space_group_name_H-M_alt 'I 4/m m m'
_space_group_IT_number 139
_space_group_name_Hall '-I 4 2'
_cell_length_a 5.066
_cell_length_b 5.066
_cell_length_c 12.806
_cell_angle_alpha 90.00
_cell_angle_beta 90.00
_cell_angle_gamma 90.00
loop_
_atom_site_label
_atom_site_type_symbol
_atom_site_fract_x
_atom_site_fract_y
_atom_site_fract_z
Cr1 Cr 0.000 0.000 0.000
Ga1 Ga 0.000 0.000 0.395
Au1 Au 0.000 0.000 0.203
Au2 Au 0.000 0.500 0.000
```

Peak list (8 most intense, 2θ = 10–90°, most intense first)
Position (°2θ)  I (rel.)  index
28.55  100  1 1 2
35.44  70  2 0 0
39.42  37  1 0 5
54.04  30  2 1 5
59.48  27  3 1 2
50.99  25  2 2 0
85.80  19  4 2 0
45.67  16  2 0 4

# CrGa2Au8
Simulated powder XRD pattern, λ = 1.5418 Å (Cu Kα). Input: a GGA-PBE-relaxed structure.
Intensities are scaled so that the largest is 100.

Cell and atoms:
```
data_CrGa2Au8
_chemical_formula_sum 'Cr1 Ga2 Au8'
_space_group_name_H-M_alt 'P -1'
_space_group_IT_number 2
_cell_length_a 3.151
_cell_length_b 7.662
_cell_length_c 8.319
_cell_angle_alpha 82.23
_cell_angle_beta 89.95
_cell_angle_gamma 78.43
loop_
_space_group_symop_operation_xyz
'x,y,z'
'-x,-y,-z'
loop_
_atom_site_label
_atom_site_type_symbol
_atom_site_fract_x
_atom_site_fract_y
_atom_site_fract_z
Cr1 Cr 0.000 0.000 0.000
Ga1 Ga 0.277 0.447 0.345
Au1 Au 0.109 0.782 0.464
Au2 Au 0.177 0.645 0.902
Au3 Au 0.364 0.275 0.825
Au4 Au 0.464 0.071 0.278
```

Peak list (8 most intense, 2θ = 10–90°, most intense first)
Position (°2θ)  I (rel.)  index
36.87  100  1 0 2
36.97  99  1 1 -2
37.95  90  0 2 3
39.38  72  0 3 -1
42.02  66  -1 2 1
42.23  65  1 3 1
47.39  47  0 1 -4
64.26  41  1 2 5

# CrGaAu6
Simulated powder XRD pattern, λ = 1.5418 Å (Cu Kα). Input: a GGA-PBE-relaxed structure.
Intensities are scaled so that the largest is 100.

Cell and atoms:
```
data_CrGaAu6
_chemical_formula_sum 'Cr4 Ga4 Au24'
_space_group_name_H-M_alt 'F m m m'
_space_group_IT_number 69
_space_group_name_Hall '-F 2 2'
_cell_length_a 6.365
_cell_length_b 7.205
_cell_length_c 12.229
_cell_angle_alpha 90.00
_cell_angle_beta 90.00
_cell_angle_gamma 90.00
loop_
_atom_site_label
_atom_site_type_symbol
_atom_site_fract_x
_atom_site_fract_y
_atom_site_fract_z
Cr1 Cr 0.000 0.000 0.000
Ga1 Ga 0.000 0.000 0.500
Au1 Au 0.000 0.000 0.246
Au2 Au 0.250 0.250 0.118
```

Peak list (8 most intense, 2θ = 10–90°, most intense first)
Position (°2θ)  I (rel.)  index
37.72  100  2 2 0
38.62  92  0 2 4
40.93  78  2 0 4
67.10  37  2 4 4
71.83  30  4 2 4
73.60  27  2 2 8
50.68  22  0 4 0
57.96  14  4 0 0

# CrGaPdAu
Simulated powder XRD pattern, λ = 1.5418 Å (Cu Kα). Input: a GGA-PBE-relaxed structure.
Intensities are scaled so that the largest is 100.

Cell and atoms:
```
data_CrGaPdAu
_chemical_formula_sum 'Cr4 Ga4 Pd4 Au4'
_space_group_name_H-M_alt 'F -4 3 m'
_space_group_IT_number 216
_space_group_name_Hall 'F -4 2 3'
_cell_length_a 6.323
_cell_length_b 6.323
_cell_length_c 6.323
_cell_angle_alpha 90.00
_cell_angle_beta 90.00
_cell_angle_gamma 90.00
loop_
_atom_site_label
_atom_site_type_symbol
_atom_site_fract_x
_atom_site_fract_y
_atom_site_fract_z
Cr1 Cr 0.000 0.000 0.000
Ga1 Ga 0.000 0.000 0.500
Pd1 Pd 0.250 0.250 0.750
Au1 Au 0.250 0.250 0.250
```

Peak list (8 most intense, 2θ = 10–90°, most intense first)
Position (°2θ)  I (rel.)  index
40.34  100  2 2 0
73.35  33  4 2 2
28.23  22  2 0 0
58.38  17  4 0 0
87.21  11  4 4 0
24.38  10  1 1 1
66.08  9  4 2 0
49.96  6  2 2 2

# CrHWAu
Simulated powder XRD pattern, λ = 1.5418 Å (Cu Kα). Input: a GGA-PBE-relaxed structure.
Intensities are scaled so that the largest is 100.

Cell and atoms:
```
data_CrHWAu
_chemical_formula_sum 'Cr1 H1 W1 Au1'
_space_group_name_H-M_alt 'P 1'
_space_group_IT_number 1
_cell_length_a 2.781
_cell_length_b 2.782
_cell_length_c 7.217
_cell_angle_alpha 94.82
_cell_angle_beta 98.20
_cell_angle_gamma 113.64
loop_
_space_group_symop_operation_xyz
'x,y,z'
loop_
_atom_site_label
_atom_site_type_symbol
_atom_site_fract_x
_atom_site_fract_y
_atom_site_fract_z
Cr1 Cr 0.000 0.000 0.000
H1 H 0.401 0.708 0.111
W1 W 0.358 0.374 0.724
Au1 Au 0.524 0.873 0.384
```

Peak list (8 most intense, 2θ = 10–90°, most intense first)
Position (°2θ)  I (rel.)  index
40.60  100  1 0 1
12.54  96  0 0 1
35.95  80  0 1 -1
38.27  71  0 0 3
40.39  52  -1 1 1
39.98  49  1 0 -2
47.56  48  1 -1 2
39.85  48  0 1 1